This entry pairs a crystal structure of Li4SmTaO6 with its simulated XRD peak list. Radiation: Cu Kα. Structure: a PBE-relaxed structure.
Kinematic intensities with the Lorentz-polarization factor, no thermal factor.

Principal peaks in the range 10 to 90 degrees two-theta, in order of rising 2θ:
two_theta  d/Å  I_rel
18.1  4.911  100
18.5  4.799  25
19.5  4.547  44
22.4  3.966  31
26.0  3.432  21
32.9  2.720  42
33.4  2.682  22
34.8  2.579  36
40.6  2.220  46
41.5  2.177  22

Cell and atoms:
abc: 5.5250 5.5250 5.2077
angles: 99.49 99.49 120.60
Positions (direct):
Li (0.0000, 0.0000, 0.0000)
Li (0.3881, 0.6119, 0.0000)
Li (0.6936, 0.3064, 0.0000)
Li (0.8607, 0.1393, 0.5000)
Sm (0.1935, 0.8065, 0.5000)
Ta (0.5263, 0.4737, 0.5000)
O (0.1473, 0.3935, 0.2588)
O (0.2915, 0.2509, 0.7307)
O (0.4578, 0.1095, 0.2615)
O (0.6065, 0.8527, 0.7412)
O (0.7491, 0.7085, 0.2693)
O (0.8905, 0.5422, 0.7385)